Starting from DFT lattice parameters and positions (GGA-PBE), the powder diffractogram of Pr4NdHo2 was computed for Cu Kα X-rays.
Peak positions follow from Bragg's law for the DFT cell and can differ from measured ones.

a = 12.7055 Å, b = 12.7055 Å, c = 6.8980 Å
α = 96.98°, β = 96.98°, γ = 150.23°
Positions (direct):
Pr (0.0187, 0.9813, 0.5000)
Pr (0.1404, 0.6034, 0.7443)
Pr (0.2169, 0.6097, 0.2756)
Pr (0.4564, 0.5635, 0.4698)
Pr (0.5635, 0.4564, 0.9698)
Pr (0.6034, 0.1404, 0.2443)
Pr (0.6097, 0.2169, 0.7756)
Pr (0.9813, 0.0187, 0.0000)
Nd (0.0961, 0.8463, 0.8731)
Nd (0.8463, 0.0961, 0.3731)
Ho (0.0472, 0.7299, 0.3229)
Ho (0.3477, 0.5307, 0.9232)
Ho (0.5307, 0.3477, 0.4232)
Ho (0.7299, 0.0472, 0.8229)

Top 10 peaks for 10° ≤ 2θ ≤ 90°, by angle:
two_theta, Rel. int.
29.39, 13
29.83, 100
30.29, 31
31.10, 66
31.74, 31
31.96, 22
36.57, 29
49.88, 21
54.46, 19
59.86, 14